# Na3Cd4In4
Theoretical powder diffractogram, Cu Kα. Input: a cell relaxed with PBE.

Peak list (12 most intense, 10 to 90 degrees two-theta, in order of rising 2θ)
2θ (°)	d (Å)	I/Imax	h k l
19.19	4.625	34	0 1 -2
25.93	3.436	54	1 0 0
32.54	2.752	20	1 0 3
32.67	2.741	19	1 0 -4
33.21	2.698	73	-1 1 2
34.87	2.573	54	0 2 -1
35.75	2.512	100	0 1 5
42.45	2.129	22	1 -1 5
42.59	2.123	22	1 1 -6
43.96	2.060	26	1 2 -1
48.46	1.878	18	1 -2 4
63.09	1.473	23	0 3 4

Crystal structure
```
data_Na3Cd4In4
_chemical_formula_sum 'Na3 Cd4 In4'
_symmetry_space_group_name_H-M 'P -1'
_symmetry_Int_Tables_number 2
_symmetry_space_group_name_Hall '-P 1'
_cell_length_a 3.4569
_cell_length_b 5.1456
_cell_length_c 16.1211
_cell_angle_alpha 99.16
_cell_angle_beta 95.93
_cell_angle_gamma 90.02
loop_
_atom_site_label
_atom_site_type_symbol
_atom_site_fract_x
_atom_site_fract_y
_atom_site_fract_z
Na1 Na 0.0000 0.0000 0.0000
Na2 Na 0.1373 0.6387 0.2784
Cd1 Cd 0.2684 0.2684 0.5352
Cd2 Cd 0.4149 0.9084 0.8169
In1 In 0.3146 0.8172 0.6318
In2 In 0.4589 0.4526 0.9065
```